Diffraction record for MgPH6NO5. The powder XRD pattern is computed, not measured: it uses a cell relaxed with GGA-PBE and λ = 1.5418 Å (Cu Kα).

Main lines, by angle (10 to 90 degrees two-theta):
2θ = 15.05°, d = 5.887 Å, I = 100, (1 1 0); 2θ = 18.56°, d = 4.780 Å, I = 42, (0 1 1); 2θ = 21.25°, d = 4.180 Å, I = 8, (1 2 0); 2θ = 23.90°, d = 3.723 Å, I = 11, (0 2 1); 2θ = 24.80°, d = 3.590 Å, I = 37, (2 0 0); 2θ = 26.00°, d = 3.428 Å, I = 13, (0 3 0); 2θ = 26.98°, d = 3.305 Å, I = 33, (1 2 1); 2θ = 31.16°, d = 2.871 Å, I = 9, (2 1 1); 2θ = 41.87°, d = 2.158 Å, I = 10, (2 0 2); 2θ = 45.03°, d = 2.013 Å, I = 6, (3 2 1); 2θ = 47.30°, d = 1.922 Å, I = 6, (0 5 1); 2θ = 57.86°, d = 1.594 Å, I = 6, (1 6 1)

Cell and atoms:
a b c (Å): 7.1806 10.2826 5.3989
angles (deg): 90.00 90.00 90.00
Space group Pmn2_1 (No. 31)
Inequivalent atoms, fractional coordinates:
1 Mg 0.0000 0.0643 0.0000
2 P 0.0000 0.1899 0.5811
3 H 0.0000 0.3852 0.7485
4 H 0.0000 0.4774 0.2497
5 H 0.0522 0.6554 0.6058
6 H 0.1161 0.8494 0.1299
7 N 0.0000 0.4522 0.0624
8 O 0.0000 0.1521 0.3110
9 O 0.0000 0.3463 0.5804
10 O 0.0000 0.8734 0.0363
11 O 0.1690 0.1391 0.7337

***

Diffraction record for MgPH16NO10. The powder XRD pattern is computed, not measured: it uses a cell relaxed with GGA-PBE and λ = 1.5418 Å (Cu Kα).

Main lines, by angle (10 to 90 degrees two-theta):
2θ = 14.81°, d = 5.983 Å, I = 37, (1 0 1); 2θ = 15.70°, d = 5.643 Å, I = 54, (0 0 2); 2θ = 16.53°, d = 5.362 Å, I = 25, (0 1 1); 2θ = 20.81°, d = 4.269 Å, I = 100, (1 1 1); 2θ = 21.46°, d = 4.141 Å, I = 33, (0 1 2); 2θ = 26.85°, d = 3.320 Å, I = 28, (1 0 3); 2θ = 30.34°, d = 2.946 Å, I = 67, (2 1 1); 2θ = 31.71°, d = 2.822 Å, I = 36, (0 0 4); 2θ = 33.40°, d = 2.683 Å, I = 95, (0 2 2); 2θ = 43.69°, d = 2.072 Å, I = 15, (2 1 4); 2θ = 50.28°, d = 1.815 Å, I = 19, (2 1 5); 2θ = 57.56°, d = 1.601 Å, I = 15, (0 2 6)

Cell and atoms:
a b c (Å): 7.0560 6.0936 11.2870
angles (deg): 90.00 90.00 90.00
Space group Pmn2_1 (No. 31)
Inequivalent atoms, fractional coordinates:
1 Mg 0.0000 0.1247 0.0000
2 P 0.0000 0.5114 0.6286
3 H 0.0000 0.1632 0.2719
4 H 0.0000 0.2817 0.4123
5 H 0.0000 0.6759 0.9545
6 H 0.0000 0.7850 0.8247
7 H 0.1166 0.4955 0.1274
8 H 0.1192 0.0394 0.3799
9 H 0.1790 0.8947 0.6395
10 H 0.1837 0.6699 0.4269
11 H 0.1973 0.2973 0.8062
12 H 0.2459 0.8594 0.1283
13 N 0.0000 0.1340 0.3622
14 O 0.0000 0.4341 0.0881
15 O 0.0000 0.5237 0.4904
16 O 0.0000 0.7489 0.6800
17 O 0.0000 0.8170 0.9125
18 O 0.1813 0.3896 0.6723
19 O 0.2062 0.0156 0.1171
20 O 0.2158 0.2376 0.8888

***

Diffraction record for NaMgH3. The powder XRD pattern is computed, not measured: it uses a cell relaxed with GGA-PBE and λ = 1.5418 Å (Cu Kα).

Main lines, by angle (10 to 90 degrees two-theta):
2θ = 32.92°, d = 2.721 Å, I = 24, (2 0 0); 2θ = 33.16°, d = 2.701 Å, I = 100, (1 2 1); 2θ = 33.42°, d = 2.681 Å, I = 25, (0 0 2); 2θ = 47.61°, d = 1.910 Å, I = 29, (0 4 0); 2θ = 58.93°, d = 1.567 Å, I = 16, (3 2 1); 2θ = 59.08°, d = 1.564 Å, I = 9, (2 4 0); 2θ = 59.40°, d = 1.556 Å, I = 9, (0 4 2); 2θ = 59.58°, d = 1.552 Å, I = 18, (1 2 3); 2θ = 69.61°, d = 1.351 Å, I = 10, (2 4 2); 2θ = 70.22°, d = 1.340 Å, I = 3, (0 0 4); 2θ = 79.31°, d = 1.208 Å, I = 13, (1 6 1); 2θ = 79.75°, d = 1.202 Å, I = 3, (2 0 4)

Cell and atoms:
a b c (Å): 5.4420 7.6419 5.3620
angles (deg): 90.00 90.00 90.00
Space group Pnma (No. 62)
Inequivalent atoms, fractional coordinates:
1 Na 0.0304 0.2500 0.0056
2 Mg 0.0000 0.0000 0.5000
3 H 0.0274 0.7500 0.4167
4 H 0.2068 0.5436 0.7948

***

Diffraction record for Na2Mg2NiH6. The powder XRD pattern is computed, not measured: it uses a cell relaxed with GGA-PBE and λ = 1.5418 Å (Cu Kα).

Main lines, by angle (10 to 90 degrees two-theta):
2θ = 15.57°, d = 5.691 Å, I = 39, (2 0 0); 2θ = 18.16°, d = 4.884 Å, I = 79, (1 0 1); 2θ = 21.10°, d = 4.210 Å, I = 23, (0 2 0); 2θ = 26.33°, d = 3.384 Å, I = 27, (2 2 0); 2θ = 28.74°, d = 3.106 Å, I = 19, (3 0 1); 2θ = 33.13°, d = 2.704 Å, I = 28, (0 0 2); 2θ = 35.76°, d = 2.511 Å, I = 14, (1 1 2); 2θ = 35.93°, d = 2.499 Å, I = 100, (3 2 1); 2θ = 38.17°, d = 2.357 Å, I = 16, (4 2 0); 2θ = 42.97°, d = 2.105 Å, I = 26, (0 4 0); 2θ = 48.48°, d = 1.878 Å, I = 27, (5 2 1); 2θ = 55.31°, d = 1.661 Å, I = 13, (0 4 2)

Cell and atoms:
a b c (Å): 11.3825 8.4189 5.4077
angles (deg): 90.00 90.00 90.00
Space group Pnma (No. 62)
Inequivalent atoms, fractional coordinates:
1 Na 0.1085 0.2500 0.0472
2 Na 0.1685 0.7500 0.0553
3 Mg 0.1279 0.5069 0.5602
4 Ni 0.0011 0.7500 0.4387
5 H 0.0220 0.6009 0.2636
6 H 0.0962 0.7500 0.6518
7 H 0.1311 0.2500 0.4745
8 H 0.2250 0.0061 0.8638